Entry 1:
The following is a calculated powder diffractogram of LiIn3Ga. It was derived from the GGA-PBE geometry in Alexandria, using Cu Ka.
Neutral-atom scattering factors, no anomalous dispersion.

Cell and atoms:
```
data_LiIn3Ga
_chemical_formula_sum 'Li4 In12 Ga4'
_cell_length_a 6.9675
_cell_length_b 6.2491
_cell_length_c 10.8537
_cell_angle_alpha 90.00
_cell_angle_beta 90.00
_cell_angle_gamma 90.00
_symmetry_space_group_name_H-M 'P n m a'
_symmetry_Int_Tables_number 62
loop_
_symmetry_equiv_pos_as_xyz
'x,y,z'
'-x,-y,-z'
'-x+1/2,-y,z+1/2'
'x+1/2,y,-z+1/2'
'x+1/2,-y+1/2,-z+1/2'
'-x+1/2,y+1/2,z+1/2'
'-x,y+1/2,-z'
'x,-y+1/2,z'
loop_
_atom_site_label
_atom_site_type_symbol
_atom_site_fract_x
_atom_site_fract_y
_atom_site_fract_z
_atom_site_occupancy
Li1 Li 0.1789 0.2500 0.0753 1
In1 In 0.1642 0.7500 0.0850 1
In2 In 0.1907 0.5081 0.8113 1
Ga1 Ga 0.0000 0.0000 0.5000 1
```

Largest 10 diffraction maxima, sorted by position, 2θ = 10–80°:
| Position (°2θ) | I (rel.) | hkl |
| --- | --- | --- |
| 20.77 | 34 | 1 1 1 |
| 25.57 | 14 | 2 0 0 |
| 27.78 | 21 | 1 0 3 |
| 28.54 | 26 | 0 2 0 |
| 30.49 | 21 | 2 0 2 |
| 35.54 | 100 | 1 0 4 |
| 39.65 | 51 | 3 0 1 |
| 40.27 | 15 | 1 2 3 |
| 42.27 | 32 | 2 2 2 |
| 66.07 | 22 | 3 2 5 |

Entry 2:
The following is a calculated powder diffractogram of Ac3MgZn2Pd6. It was derived from the GGA-PBE geometry in Alexandria, using Cu Ka.
Neutral-atom scattering factors, no anomalous dispersion.

Cell and atoms:
```
data_Ac3MgZn2Pd6
_chemical_formula_sum 'Ac3 Mg1 Zn2 Pd6'
_cell_length_a 5.9282
_cell_length_b 5.9282
_cell_length_c 9.0211
_cell_angle_alpha 90.00
_cell_angle_beta 90.00
_cell_angle_gamma 120.00
_symmetry_space_group_name_H-M 'P -3 m 1'
_symmetry_Int_Tables_number 164
_symmetry_space_group_name_Hall '-P 3 2"'
loop_
_atom_site_label
_atom_site_type_symbol
_atom_site_fract_x
_atom_site_fract_y
_atom_site_fract_z
_atom_site_occupancy
Ac1 Ac 0.0000 0.0000 0.0000 1
Ac2 Ac 0.3333 0.6667 0.6365 1
Mg1 Mg 0.0000 0.0000 0.5000 1
Zn1 Zn 0.3333 0.6667 0.0447 1
Pd1 Pd 0.1738 0.3477 0.2804 1
```

Largest 10 diffraction maxima, sorted by position, 2θ = 10–80°:
| Position (°2θ) | I (rel.) | hkl |
| --- | --- | --- |
| 19.90 | 39 | 1 0 1 |
| 26.30 | 47 | 0 1 2 |
| 29.71 | 39 | 0 0 3 |
| 30.15 | 41 | 1 1 0 |
| 36.27 | 34 | 1 1 2 |
| 36.39 | 100 | 0 2 1 |
| 40.43 | 69 | 2 0 2 |
| 42.84 | 25 | 1 1 3 |
| 43.85 | 20 | 0 1 4 |
| 62.69 | 29 | 2 2 0 |

Entry 3:
The following is a calculated powder diffractogram of CsVCl14. It was derived from the GGA-PBE geometry in Alexandria, using Cu Ka.
Neutral-atom scattering factors, no anomalous dispersion.

Cell and atoms:
```
data_CsVCl14
_chemical_formula_sum 'Cs2 V2 Cl28'
_cell_length_a 10.3235
_cell_length_b 20.0444
_cell_length_c 6.8218
_cell_angle_alpha 90.00
_cell_angle_beta 116.45
_cell_angle_gamma 90.00
_symmetry_space_group_name_H-M 'C 1 2 1'
_symmetry_Int_Tables_number 5
loop_
_symmetry_equiv_pos_as_xyz
'x,y,z'
'-x,y,-z'
'x+1/2,y+1/2,z'
'-x+1/2,y+1/2,-z'
loop_
_atom_site_label
_atom_site_type_symbol
_atom_site_fract_x
_atom_site_fract_y
_atom_site_fract_z
_atom_site_occupancy
Cs1 Cs 0.0000 0.0000 0.0000 1
V1 V 0.0000 0.5102 0.0000 1
Cl1 Cl 0.0000 0.6114 0.5000 1
Cl2 Cl 0.0000 0.9851 0.5000 1
Cl3 Cl 0.0700 0.1902 0.6584 1
Cl4 Cl 0.0760 0.8104 0.2603 1
Cl5 Cl 0.0919 0.4389 0.8531 1
Cl6 Cl 0.1101 0.6074 0.8750 1
Cl7 Cl 0.1963 0.5317 0.2996 1
Cl8 Cl 0.2408 0.3316 0.4739 1
```

Largest 10 diffraction maxima, sorted by position, 2θ = 10–80°:
| Position (°2θ) | I (rel.) | hkl |
| --- | --- | --- |
| 17.00 | 100 | 0 2 1 |
| 19.20 | 46 | 2 0 0 |
| 20.25 | 57 | 2 2 -1 |
| 21.17 | 37 | 2 2 0 |
| 24.20 | 90 | 1 5 0 |
| 25.49 | 85 | 2 4 -1 |
| 26.70 | 58 | 0 6 0 |
| 28.35 | 36 | 2 2 -2 |
| 32.49 | 34 | 2 6 -1 |
| 43.11 | 44 | 2 2 2 |

Entry 4:
The following is a calculated powder diffractogram of SrGa2Ge2. It was derived from the GGA-PBE geometry in Alexandria, using Cu Ka.
Neutral-atom scattering factors, no anomalous dispersion.

Cell and atoms:
```
data_SrGa2Ge2
_chemical_formula_sum 'Sr2 Ga4 Ge4'
_cell_length_a 4.7468
_cell_length_b 4.7468
_cell_length_c 9.9556
_cell_angle_alpha 90.00
_cell_angle_beta 90.00
_cell_angle_gamma 90.00
_symmetry_space_group_name_H-M 'I 4/m m m'
_symmetry_Int_Tables_number 139
_symmetry_space_group_name_Hall '-I 4 2'
loop_
_atom_site_label
_atom_site_type_symbol
_atom_site_fract_x
_atom_site_fract_y
_atom_site_fract_z
_atom_site_occupancy
Sr1 Sr 0.0000 0.0000 0.0000 1
Ga1 Ga 0.0000 0.0000 0.3732 1
Ge1 Ge 0.0000 0.5000 0.2500 1
```

Largest 10 diffraction maxima, sorted by position, 2θ = 10–80°:
| Position (°2θ) | I (rel.) | hkl |
| --- | --- | --- |
| 32.16 | 100 | 1 1 2 |
| 32.93 | 65 | 1 0 3 |
| 37.91 | 85 | 2 0 0 |
| 45.36 | 30 | 1 1 4 |
| 49.65 | 18 | 1 0 5 |
| 51.08 | 37 | 2 1 3 |
| 54.69 | 29 | 2 2 0 |
| 62.43 | 16 | 1 1 6 |
| 64.12 | 16 | 2 1 5 |
| 64.88 | 26 | 3 1 2 |

Entry 5:
The following is a calculated powder diffractogram of NaHgTe. It was derived from the GGA-PBE geometry in Alexandria, using Cu Ka.
Neutral-atom scattering factors, no anomalous dispersion.

Cell and atoms:
```
data_NaHgTe
_chemical_formula_sum 'Na16 Hg16 Te16'
_cell_length_a 9.7365
_cell_length_b 10.2752
_cell_length_c 17.4614
_cell_angle_alpha 90.00
_cell_angle_beta 90.00
_cell_angle_gamma 90.00
_symmetry_space_group_name_H-M 'F d d d'
_symmetry_Int_Tables_number 70
loop_
_symmetry_equiv_pos_as_xyz
'x,y,z'
'-x,-y,-z'
'-x+1/4,-y+1/4,z'
'x+1/4,y+1/4,-z'
'x,-y+1/4,-z+1/4'
'-x,y+1/4,z+1/4'
'-x+1/4,y,-z+1/4'
'x+1/4,-y,z+1/4'
'x,y+1/2,z+1/2'
'-x,-y+1/2,-z+1/2'
'-x+1/4,-y+3/4,z+1/2'
'x+1/4,y+3/4,-z+1/2'
'x,-y+3/4,-z+3/4'
'-x,y+3/4,z+3/4'
'-x+1/4,y+1/2,-z+3/4'
'x+1/4,-y+1/2,z+3/4'
'x+1/2,y,z+1/2'
'-x+1/2,-y,-z+1/2'
'-x+3/4,-y+1/4,z+1/2'
'x+3/4,y+1/4,-z+1/2'
'x+1/2,-y+1/4,-z+3/4'
'-x+1/2,y+1/4,z+3/4'
'-x+3/4,y,-z+3/4'
'x+3/4,-y,z+3/4'
'x+1/2,y+1/2,z'
'-x+1/2,-y+1/2,-z'
'-x+3/4,-y+3/4,z'
'x+3/4,y+3/4,-z'
'x+1/2,-y+3/4,-z+1/4'
'-x+1/2,y+3/4,z+1/4'
'-x+3/4,y+1/2,-z+1/4'
'x+3/4,-y+1/2,z+1/4'
loop_
_atom_site_label
_atom_site_type_symbol
_atom_site_fract_x
_atom_site_fract_y
_atom_site_fract_z
_atom_site_occupancy
Na1 Na 0.1250 0.1250 0.2657 1
Hg1 Hg 0.0000 0.0000 0.5000 1
Te1 Te 0.1082 0.3750 0.3750 1
```

Largest 10 diffraction maxima, sorted by position, 2θ = 10–80°:
| Position (°2θ) | I (rel.) | hkl |
| --- | --- | --- |
| 13.52 | 76 | 1 1 1 |
| 19.76 | 47 | 1 1 3 |
| 20.05 | 38 | 0 2 2 |
| 20.89 | 39 | 2 0 2 |
| 27.22 | 100 | 2 2 2 |
| 28.09 | 34 | 1 3 1 |
| 32.60 | 33 | 2 2 4 |
| 40.14 | 36 | 2 2 6 |
| 40.76 | 39 | 0 4 4 |
| 42.52 | 33 | 4 0 4 |

Entry 6:
The following is a calculated powder diffractogram of TcIr3. It was derived from the GGA-PBE geometry in Alexandria, using Cu Ka.
Neutral-atom scattering factors, no anomalous dispersion.

Cell and atoms:
```
data_TcIr3
_chemical_formula_sum 'Tc1 Ir3'
_cell_length_a 2.7291
_cell_length_b 2.7291
_cell_length_c 7.7809
_cell_angle_alpha 90.00
_cell_angle_beta 90.00
_cell_angle_gamma 90.00
_symmetry_space_group_name_H-M 'P 4/m m m'
_symmetry_Int_Tables_number 123
_symmetry_space_group_name_Hall '-P 4 2'
loop_
_atom_site_label
_atom_site_type_symbol
_atom_site_fract_x
_atom_site_fract_y
_atom_site_fract_z
_atom_site_occupancy
Tc1 Tc 0.0000 0.0000 0.0000 1
Ir1 Ir 0.0000 0.0000 0.5000 1
Ir2 Ir 0.5000 0.5000 0.2476 1
```

Largest 10 diffraction maxima, sorted by position, 2θ = 10–80°:
| Position (°2θ) | I (rel.) | hkl |
| --- | --- | --- |
| 11.37 | 7 | 0 0 1 |
| 22.86 | 2 | 0 0 2 |
| 32.82 | 2 | 1 0 0 |
| 34.58 | 1 | 0 0 3 |
| 34.84 | 3 | 1 0 1 |
| 40.37 | 100 | 1 0 2 |
| 46.70 | 17 | 0 0 4 |
| 47.09 | 32 | 1 1 0 |
| 68.49 | 21 | 1 1 4 |
| 68.80 | 10 | 2 0 0 |

Entry 7:
The following is a calculated powder diffractogram of BeRe5. It was derived from the GGA-PBE geometry in Alexandria, using Cu Ka.
Neutral-atom scattering factors, no anomalous dispersion.

Cell and atoms:
```
data_BeRe5
_chemical_formula_sum 'Be1 Re5'
_cell_length_a 2.8001
_cell_length_b 2.8001
_cell_length_c 10.6265
_cell_angle_alpha 90.00
_cell_angle_beta 90.00
_cell_angle_gamma 90.00
_symmetry_space_group_name_H-M 'P 4/m m m'
_symmetry_Int_Tables_number 123
_symmetry_space_group_name_Hall '-P 4 2'
loop_
_atom_site_label
_atom_site_type_symbol
_atom_site_fract_x
_atom_site_fract_y
_atom_site_fract_z
_atom_site_occupancy
Be1 Be 0.0000 0.0000 0.0000 1
Re1 Re 0.0000 0.0000 0.3164 1
Re2 Re 0.5000 0.5000 0.1396 1
Re3 Re 0.5000 0.5000 0.5000 1
```

Largest 10 diffraction maxima, sorted by position, 2θ = 10–80°:
| Position (°2θ) | I (rel.) | hkl |
| --- | --- | --- |
| 33.08 | 9 | 1 0 1 |
| 36.26 | 24 | 1 0 2 |
| 41.09 | 100 | 1 0 3 |
| 42.54 | 12 | 0 0 5 |
| 45.83 | 43 | 1 1 0 |
| 51.61 | 8 | 0 0 6 |
| 64.30 | 14 | 1 1 5 |
| 66.82 | 14 | 2 0 0 |
| 71.47 | 12 | 1 1 6 |
| 79.94 | 13 | 1 0 8 |

Entry 8:
The following is a calculated powder diffractogram of CaLaEr2Te4. It was derived from the GGA-PBE geometry in Alexandria, using Cu Ka.
Neutral-atom scattering factors, no anomalous dispersion.

Cell and atoms:
```
data_CaLaEr2Te4
_chemical_formula_sum 'Ca1 La1 Er2 Te4'
_cell_length_a 7.6795
_cell_length_b 4.3982
_cell_length_c 7.6993
_cell_angle_alpha 90.00
_cell_angle_beta 109.05
_cell_angle_gamma 90.00
_symmetry_space_group_name_H-M 'P 1 2/m 1'
_symmetry_Int_Tables_number 10
loop_
_symmetry_equiv_pos_as_xyz
'x,y,z'
'-x,-y,-z'
'-x,y,-z'
'x,-y,z'
loop_
_atom_site_label
_atom_site_type_symbol
_atom_site_fract_x
_atom_site_fract_y
_atom_site_fract_z
_atom_site_occupancy
Ca1 Ca 0.0000 0.0000 0.0000 1
La1 La 0.0000 0.5000 0.5000 1
Er1 Er 0.5000 0.0000 0.5000 1
Er2 Er 0.5000 0.5000 0.0000 1
Te1 Te 0.2621 0.5000 0.2491 1
Te2 Te 0.2653 0.0000 0.7606 1
```

Largest 10 diffraction maxima, sorted by position, 2θ = 10–80°:
| Position (°2θ) | I (rel.) | hkl |
| --- | --- | --- |
| 12.19 | 10 | 1 0 0 |
| 28.50 | 100 | 1 1 1 |
| 40.43 | 13 | 2 0 2 |
| 40.75 | 50 | 1 1 -3 |
| 41.04 | 12 | 0 2 0 |
| 50.73 | 13 | 2 2 -2 |
| 58.98 | 12 | 2 2 2 |
| 66.74 | 12 | 0 2 4 |
| 66.85 | 11 | 4 2 0 |
| 74.57 | 8 | 1 3 -3 |

Entry 9:
The following is a calculated powder diffractogram of ScPtCl2. It was derived from the GGA-PBE geometry in Alexandria, using Cu Ka.
Neutral-atom scattering factors, no anomalous dispersion.

Cell and atoms:
```
data_ScPtCl2
_chemical_formula_sum 'Sc3 Pt3 Cl6'
_cell_length_a 3.5396
_cell_length_b 3.5396
_cell_length_c 25.5941
_cell_angle_alpha 90.00
_cell_angle_beta 90.00
_cell_angle_gamma 120.00
_symmetry_space_group_name_H-M 'R 3 m'
_symmetry_Int_Tables_number 160
_symmetry_space_group_name_Hall 'R 3 -2"'
loop_
_atom_site_label
_atom_site_type_symbol
_atom_site_fract_x
_atom_site_fract_y
_atom_site_fract_z
_atom_site_occupancy
Sc1 Sc 0.0000 0.0000 0.0000 1
Pt1 Pt 0.0000 0.0000 0.2659 1
Cl1 Cl 0.0000 0.0000 0.5311 1
Cl2 Cl 0.0000 0.0000 0.7307 1
```

Largest 10 diffraction maxima, sorted by position, 2θ = 10–80°:
| Position (°2θ) | I (rel.) | hkl |
| --- | --- | --- |
| 10.37 | 100 | 0 0 3 |
| 20.82 | 11 | 0 0 6 |
| 29.34 | 17 | 1 0 1 |
| 29.97 | 16 | 0 1 2 |
| 32.38 | 52 | 1 0 4 |
| 38.32 | 23 | 1 0 7 |
| 40.77 | 19 | 0 1 8 |
| 49.16 | 15 | 0 1 11 |
| 51.65 | 15 | 1 1 0 |
| 52.83 | 11 | 1 1 3 |

Entry 10:
The following is a calculated powder diffractogram of Tb2CeRh. It was derived from the GGA-PBE geometry in Alexandria, using Cu Ka.
Neutral-atom scattering factors, no anomalous dispersion.

Cell and atoms:
```
data_Tb2CeRh
_chemical_formula_sum 'Tb6 Ce3 Rh3'
_cell_length_a 3.6064
_cell_length_b 3.6064
_cell_length_c 31.4164
_cell_angle_alpha 90.00
_cell_angle_beta 90.00
_cell_angle_gamma 120.00
_symmetry_space_group_name_H-M 'R -3 m'
_symmetry_Int_Tables_number 166
_symmetry_space_group_name_Hall '-R 3 2"'
loop_
_atom_site_label
_atom_site_type_symbol
_atom_site_fract_x
_atom_site_fract_y
_atom_site_fract_z
_atom_site_occupancy
Tb1 Tb 0.0000 0.0000 0.1096 1
Ce1 Ce 0.0000 0.0000 0.0000 1
Rh1 Rh 0.0000 0.0000 0.5000 1
```

Largest 10 diffraction maxima, sorted by position, 2θ = 10–80°:
| Position (°2θ) | I (rel.) | hkl |
| --- | --- | --- |
| 25.52 | 47 | 0 0 9 |
| 28.72 | 66 | 1 0 1 |
| 29.15 | 79 | 0 1 2 |
| 32.00 | 47 | 0 1 5 |
| 36.77 | 100 | 0 1 8 |
| 40.74 | 86 | 1 0 10 |
| 50.62 | 57 | 1 1 0 |
| 57.53 | 30 | 1 1 9 |
| 66.91 | 20 | 0 2 10 |
| 75.86 | 33 | 1 1 18 |

Entry 11:
The following is a calculated powder diffractogram of LaYHo2Th. It was derived from the GGA-PBE geometry in Alexandria, using Cu Ka.
Neutral-atom scattering factors, no anomalous dispersion.

Cell and atoms:
```
data_LaYHo2Th
_chemical_formula_sum 'La1 Y1 Ho2 Th1'
_cell_length_a 3.5343
_cell_length_b 5.6754
_cell_length_c 8.7108
_cell_angle_alpha 90.00
_cell_angle_beta 90.00
_cell_angle_gamma 90.00
_symmetry_space_group_name_H-M 'P m m m'
_symmetry_Int_Tables_number 47
loop_
_symmetry_equiv_pos_as_xyz
'x,y,z'
'-x,-y,-z'
'-x,-y,z'
'x,y,-z'
'x,-y,-z'
'-x,y,z'
'-x,y,-z'
'x,-y,z'
loop_
_atom_site_label
_atom_site_type_symbol
_atom_site_fract_x
_atom_site_fract_y
_atom_site_fract_z
_atom_site_occupancy
La1 La 0.0000 0.0000 0.0000 1
Y1 Y 0.5000 0.0000 0.5000 1
Ho1 Ho 0.0000 0.5000 0.3216 1
Th1 Th 0.5000 0.5000 0.0000 1
```

Largest 10 diffraction maxima, sorted by position, 2θ = 10–80°:
| Position (°2θ) | I (rel.) | hkl |
| --- | --- | --- |
| 15.61 | 27 | 0 1 0 |
| 30.79 | 18 | 0 0 3 |
| 31.54 | 100 | 0 2 0 |
| 32.63 | 13 | 1 0 2 |
| 34.70 | 19 | 0 1 3 |
| 36.36 | 30 | 1 1 2 |
| 44.65 | 14 | 0 2 3 |
| 51.92 | 11 | 1 1 4 |
| 56.15 | 15 | 1 3 1 |
| 61.56 | 15 | 1 1 5 |

Entry 12:
The following is a calculated powder diffractogram of NaCd3In4. It was derived from the GGA-PBE geometry in Alexandria, using Cu Ka.
Neutral-atom scattering factors, no anomalous dispersion.

Cell and atoms:
```
data_NaCd3In4
_chemical_formula_sum 'Na2 Cd6 In8'
_cell_length_a 20.2702
_cell_length_b 3.6038
_cell_length_c 5.6475
_cell_angle_alpha 90.00
_cell_angle_beta 94.16
_cell_angle_gamma 90.00
_symmetry_space_group_name_H-M 'C 1 2/m 1'
_symmetry_Int_Tables_number 12
loop_
_symmetry_equiv_pos_as_xyz
'x,y,z'
'-x,-y,-z'
'-x,y,-z'
'x,-y,z'
'x+1/2,y+1/2,z'
'-x+1/2,-y+1/2,-z'
'-x+1/2,y+1/2,-z'
'x+1/2,-y+1/2,z'
loop_
_atom_site_label
_atom_site_type_symbol
_atom_site_fract_x
_atom_site_fract_y
_atom_site_fract_z
_atom_site_occupancy
Na1 Na 0.0000 0.0000 0.0000 1
Cd1 Cd 0.0000 0.5000 0.5000 1
Cd2 Cd 0.1242 0.5000 0.8673 1
In1 In 0.1243 0.0000 0.3680 1
In2 In 0.2475 0.0000 0.7527 1
```

Largest 10 diffraction maxima, sorted by position, 2θ = 10–80°:
| Position (°2θ) | I (rel.) | hkl |
| --- | --- | --- |
| 31.85 | 100 | 3 1 -1 |
| 33.65 | 42 | 2 0 2 |
| 35.52 | 37 | 8 0 0 |
| 37.75 | 62 | 5 1 1 |
| 40.21 | 26 | 6 0 -2 |
| 50.66 | 13 | 0 2 0 |
| 55.05 | 20 | 1 1 -3 |
| 57.60 | 17 | 11 1 -1 |
| 62.20 | 14 | 2 2 2 |
| 66.59 | 22 | 6 2 -2 |

Entry 13:
The following is a calculated powder diffractogram of LaSm12Dy2. It was derived from the GGA-PBE geometry in Alexandria, using Cu Ka.
Neutral-atom scattering factors, no anomalous dispersion.

Cell and atoms:
```
data_LaSm12Dy2
_chemical_formula_sum 'La4 Sm48 Dy8'
_cell_length_a 7.1388
_cell_length_b 11.5211
_cell_length_c 25.0330
_cell_angle_alpha 90.00
_cell_angle_beta 90.00
_cell_angle_gamma 90.00
_symmetry_space_group_name_H-M 'C m m e'
_symmetry_Int_Tables_number 67
_symmetry_space_group_name_Hall '-C 2a 2'
loop_
_atom_site_label
_atom_site_type_symbol
_atom_site_fract_x
_atom_site_fract_y
_atom_site_fract_z
_atom_site_occupancy
La1 La 0.0000 0.2500 0.0044 1
Sm1 Sm 0.0000 0.0077 0.9216 1
Sm2 Sm 0.0000 0.0230 0.4402 1
Sm3 Sm 0.2321 0.2500 0.5850 1
Sm4 Sm 0.2461 0.2500 0.1332 1
Sm5 Sm 0.2500 0.0000 0.2013 1
Sm6 Sm 0.2500 0.0000 0.3268 1
Dy1 Dy 0.0000 0.2500 0.2726 1
Dy2 Dy 0.0000 0.2500 0.7324 1
```

Largest 10 diffraction maxima, sorted by position, 2θ = 10–80°:
| Position (°2θ) | I (rel.) | hkl |
| --- | --- | --- |
| 29.40 | 75 | 0 2 7 |
| 30.31 | 100 | 2 2 2 |
| 31.05 | 99 | 0 4 0 |
| 31.37 | 33 | 2 2 3 |
| 32.56 | 70 | 0 2 8 |
| 32.80 | 65 | 2 2 4 |
| 36.62 | 47 | 2 2 6 |
| 47.38 | 30 | 2 0 11 |
| 57.73 | 34 | 2 4 11 |
| 61.07 | 31 | 4 4 0 |

Entry 14:
The following is a calculated powder diffractogram of CrSbS. It was derived from the GGA-PBE geometry in Alexandria, using Cu Ka.
Neutral-atom scattering factors, no anomalous dispersion.

Cell and atoms:
```
data_CrSbS
_chemical_formula_sum 'Cr2 Sb2 S2'
_cell_length_a 5.7243
_cell_length_b 3.4717
_cell_length_c 6.4439
_cell_angle_alpha 90.00
_cell_angle_beta 102.19
_cell_angle_gamma 90.00
_symmetry_space_group_name_H-M 'P 1 2/m 1'
_symmetry_Int_Tables_number 10
loop_
_symmetry_equiv_pos_as_xyz
'x,y,z'
'-x,-y,-z'
'-x,y,-z'
'x,-y,z'
loop_
_atom_site_label
_atom_site_type_symbol
_atom_site_fract_x
_atom_site_fract_y
_atom_site_fract_z
_atom_site_occupancy
Cr1 Cr 0.0000 0.0000 0.0000 1
Cr2 Cr 0.5000 0.5000 0.5000 1
Sb1 Sb 0.2135 0.0000 0.6576 1
S1 S 0.2442 0.5000 0.1670 1
```

Largest 10 diffraction maxima, sorted by position, 2θ = 10–80°:
| Position (°2θ) | I (rel.) | hkl |
| --- | --- | --- |
| 14.06 | 35 | 0 0 1 |
| 23.39 | 54 | 1 0 1 |
| 29.45 | 45 | 1 0 -2 |
| 32.03 | 100 | 1 1 -1 |
| 34.99 | 40 | 1 1 1 |
| 35.54 | 34 | 1 0 2 |
| 38.25 | 34 | 2 0 -2 |
| 39.46 | 35 | 1 1 -2 |
| 46.29 | 44 | 2 1 1 |
| 50.82 | 45 | 0 1 3 |